TmPu2ReC4: theoretical powder diffraction line list (CuKα), based on a structure optimized by DFT (GGA-PBE).
Peak positions follow from Bragg's law for the DFT cell and can differ from measured ones.

The 6 most intense peaks (2θ from 5° to 70°), in order of falling intensity:
2θ (°)	intensity
30.79	100
38.06	92
31.05	52
28.75	51
42.82	30
26.51	22

```
TmPu2ReC4
1.0
1.7136 -5.7607 0.0000
1.7136 5.7607 0.0000
0.0000 0.0000 12.4225
Tm Pu Re C
2 4 2 8
Direct
0.1119 0.8881 0.7500
0.8881 0.1119 0.2500
0.3666 0.6334 0.5352
0.3666 0.6334 0.9648
0.6334 0.3666 0.0352
0.6334 0.3666 0.4648
0.1532 0.8468 0.2500
0.8468 0.1532 0.7500
0.0000 0.0000 0.0000
0.0000 0.0000 0.5000
0.2611 0.7389 0.1318
0.2611 0.7389 0.3682
0.4432 0.5568 0.7500
0.5568 0.4432 0.2500
0.7389 0.2611 0.6318
0.7389 0.2611 0.8682
```